Entry 1:
For Mg6HIr2, a crystal structure in Alexandria, relaxed with PBE gives the computed XRD peak list in this record (λ = 1.5418 Å (Cu Kα)).
Kinematic intensities with the Lorentz-polarization factor, no thermal factor.

Principal peaks in the range 10° ≤ 2θ ≤ 90°, by intensity:
d_spacing  2θ (°)  I/Imax  index
3.939  22.57  1000  1 1 1
3.986  22.30  452  0 1 1
2.266  39.78  435  2 1 1
2.314  38.91  397  1 -1 2
2.292  39.31  301  1 2 2
2.271  39.68  273  1 0 -2
4.961  17.88  263  0 1 0
4.039  22.01  262  0 1 -1
2.281  39.50  250  1 0 3
3.062  29.16  201  1 1 -1

Crystal structure
```
data_Mg6HIr2
_space_group_name_H-M_alt 'P 1'
_space_group_IT_number 1
_cell_length_a 4.5283
_cell_length_b 5.4516
_cell_length_c 7.1880
_cell_angle_alpha 83.21
_cell_angle_beta 71.68
_cell_angle_gamma 65.52
loop_
_space_group_symop_operation_xyz
'x,y,z'
loop_
_atom_site_label
_atom_site_type_symbol
_atom_site_fract_x
_atom_site_fract_y
_atom_site_fract_z
_atom_site_occupancy
Mg1 Mg 0.0000 0.0000 0.0000 1
Mg2 Mg 0.0558 0.3216 0.5644 1
Mg3 Mg 0.2310 0.3947 0.1409 1
Mg4 Mg 0.3648 0.5394 0.7291 1
Mg5 Mg 0.4443 0.8097 0.2996 1
Mg6 Mg 0.6883 0.9419 0.6798 1
H1 H 0.8753 0.9068 0.3436 1
Ir1 Ir 0.6977 0.2425 0.3585 1
Ir2 Ir 0.7488 0.5595 0.9411 1
```

=====

Entry 2:
For MgH3Ir3, a crystal structure in Alexandria, relaxed with PBE gives the computed XRD peak list in this record (λ = 1.5418 Å (Cu Kα)).
Kinematic intensities with the Lorentz-polarization factor, no thermal factor.

Principal peaks in the range 10° ≤ 2θ ≤ 90°, by intensity:
d_spacing  2θ (°)  I/Imax  index
2.368  38.00  1000  1 1 -1
2.071  43.70  459  1 1 1
2.391  37.62  340  0 0 2
2.025  44.75  204  2 0 -2
4.782  18.55  167  0 0 1
4.731  18.76  160  1 0 0
1.454  64.05  139  1 1 -3
1.442  64.62  138  3 1 -1
4.050  21.94  123  1 0 -1
1.252  75.99  92  1 1 3

Crystal structure
```
data_MgH3Ir3
_space_group_name_H-M_alt 'P 1 m 1'
_space_group_IT_number 6
_cell_length_a 4.9769
_cell_length_b 2.9204
_cell_length_c 5.0311
_cell_angle_alpha 90.00
_cell_angle_beta 108.09
_cell_angle_gamma 90.00
loop_
_space_group_symop_operation_xyz
'x,y,z'
'x,-y,z'
loop_
_atom_site_label
_atom_site_type_symbol
_atom_site_fract_x
_atom_site_fract_y
_atom_site_fract_z
_atom_site_occupancy
Mg1 Mg 0.0000 0.0000 0.0000 1
H1 H 0.1635 0.0000 0.6469 1
H2 H 0.2539 0.5000 0.3397 1
H3 H 0.5844 0.0000 0.8505 1
Ir1 Ir 0.4974 0.5000 0.0117 1
Ir2 Ir 0.5036 0.0000 0.4763 1
Ir3 Ir 0.9730 0.5000 0.4901 1
```

=====

Entry 3:
For Mg4HIr, a crystal structure in Alexandria, relaxed with PBE gives the computed XRD peak list in this record (λ = 1.5418 Å (Cu Kα)).
Kinematic intensities with the Lorentz-polarization factor, no thermal factor.

Principal peaks in the range 10° ≤ 2θ ≤ 90°, by intensity:
d_spacing  2θ (°)  I/Imax  index
4.707  18.85  1000  0 0 1
2.438  36.88  728  3 1 -2
2.452  36.65  705  1 1 1
3.610  24.66  484  1 1 0
3.595  24.76  449  1 1 -1
2.117  42.72  232  4 0 -1
2.094  43.20  212  2 0 -3
1.497  62.00  202  2 0 2
1.950  46.58  200  0 2 1
2.142  42.19  191  0 2 0

Crystal structure
```
data_Mg4HIr
_space_group_name_H-M_alt 'C 1 m 1'
_space_group_IT_number 8
_cell_length_a 9.4096
_cell_length_b 4.2839
_cell_length_c 6.6113
_cell_angle_alpha 90.00
_cell_angle_beta 134.56
_cell_angle_gamma 90.00
loop_
_space_group_symop_operation_xyz
'x,y,z'
'x,-y,z'
'x+1/2,y+1/2,z'
'x+1/2,-y+1/2,z'
loop_
_atom_site_label
_atom_site_type_symbol
_atom_site_fract_x
_atom_site_fract_y
_atom_site_fract_z
_atom_site_occupancy
Mg1 Mg 0.0000 0.0000 0.0000 1
Mg2 Mg 0.0926 0.5000 0.4213 1
Mg3 Mg 0.3027 0.5000 0.1775 1
Mg4 Mg 0.4027 0.0000 0.6265 1
H1 H 0.4682 0.5000 0.6215 1
Ir1 Ir 0.2135 0.0000 0.8216 1
```

=====

Entry 4:
For Mg5HIr, a crystal structure in Alexandria, relaxed with PBE gives the computed XRD peak list in this record (λ = 1.5418 Å (Cu Kα)).
Kinematic intensities with the Lorentz-polarization factor, no thermal factor.

Principal peaks in the range 10° ≤ 2θ ≤ 90°, by intensity:
d_spacing  2θ (°)  I/Imax  index
4.585  19.36  1000  1 1 0
3.315  26.90  515  0 2 1
2.314  38.92  490  1 3 1
2.320  38.82  489  2 0 -1
2.647  33.86  392  2 0 0
4.788  18.53  340  0 0 1
3.305  26.97  257  1 1 1
2.394  37.57  222  0 0 2
2.069  43.75  178  0 4 1
2.124  42.57  176  1 1 -2

Crystal structure
```
data_Mg5HIr
_space_group_name_H-M_alt 'C 1 m 1'
_space_group_IT_number 8
_cell_length_a 5.2972
_cell_length_b 9.1661
_cell_length_c 4.7878
_cell_angle_alpha 90.00
_cell_angle_beta 90.26
_cell_angle_gamma 90.00
loop_
_space_group_symop_operation_xyz
'x,y,z'
'x,-y,z'
'x+1/2,y+1/2,z'
'x+1/2,-y+1/2,z'
loop_
_atom_site_label
_atom_site_type_symbol
_atom_site_fract_x
_atom_site_fract_y
_atom_site_fract_z
_atom_site_occupancy
Mg1 Mg 0.0000 0.0000 0.0000 1
Mg2 Mg 0.3278 0.3316 0.5021 1
Mg3 Mg 0.4619 0.1569 0.9920 1
H1 H 0.0778 0.5000 0.3190 1
Ir1 Ir 0.3048 0.0000 0.4984 1
```

=====

Entry 5:
For Mg3HIr, a crystal structure in Alexandria, relaxed with PBE gives the computed XRD peak list in this record (λ = 1.5418 Å (Cu Kα)).
Kinematic intensities with the Lorentz-polarization factor, no thermal factor.

Principal peaks in the range 10° ≤ 2θ ≤ 90°, by intensity:
d_spacing  2θ (°)  I/Imax  index
4.932  17.99  1000  0 1 0
6.411  13.81  748  0 0 1
2.320  38.82  469  -1 1 2
2.330  38.65  339  2 0 -1
2.308  39.03  323  0 1 -3
3.406  26.16  291  1 1 -1
2.425  37.08  276  1 1 1
2.360  38.14  275  1 -2 1
3.314  26.91  265  1 0 1
3.258  27.38  258  1 -1 1

Crystal structure
```
data_Mg3HIr
_space_group_name_H-M_alt 'P -1'
_space_group_IT_number 2
_cell_length_a 4.6906
_cell_length_b 5.3461
_cell_length_c 7.1071
_cell_angle_alpha 110.95
_cell_angle_beta 102.64
_cell_angle_gamma 93.57
loop_
_space_group_symop_operation_xyz
'x,y,z'
'-x,-y,-z'
loop_
_atom_site_label
_atom_site_type_symbol
_atom_site_fract_x
_atom_site_fract_y
_atom_site_fract_z
_atom_site_occupancy
Mg1 Mg 0.0253 0.2233 0.4279 1
Mg2 Mg 0.2602 0.1634 0.0183 1
Mg3 Mg 0.3766 0.7411 0.2700 1
H1 H 0.3665 0.6135 0.6942 1
Ir1 Ir 0.1771 0.5555 0.8506 1
```

=====

Entry 6:
For Mg3H2Ir5, a crystal structure in Alexandria, relaxed with PBE gives the computed XRD peak list in this record (λ = 1.5418 Å (Cu Kα)).
Kinematic intensities with the Lorentz-polarization factor, no thermal factor.

Principal peaks in the range 10° ≤ 2θ ≤ 90°, by intensity:
d_spacing  2θ (°)  I/Imax  index
2.178  41.46  1000  2 2 -1
2.479  36.24  757  0 2 1
2.166  41.71  664  2 2 1
4.492  19.76  629  2 0 0
2.246  40.15  462  4 0 0
2.158  41.86  319  2 0 2
1.431  65.18  317  0 4 0
4.831  18.36  196  1 1 0
4.954  17.90  178  0 0 1
1.670  54.99  158  4 2 -1

Crystal structure
```
data_Mg3H2Ir5
_space_group_name_H-M_alt 'C 1 m 1'
_space_group_IT_number 8
_cell_length_a 8.9851
_cell_length_b 5.7298
_cell_length_c 4.9544
_cell_angle_alpha 90.00
_cell_angle_beta 90.68
_cell_angle_gamma 90.00
loop_
_space_group_symop_operation_xyz
'x,y,z'
'x,-y,z'
'x+1/2,y+1/2,z'
'x+1/2,-y+1/2,z'
loop_
_atom_site_label
_atom_site_type_symbol
_atom_site_fract_x
_atom_site_fract_y
_atom_site_fract_z
_atom_site_occupancy
Mg1 Mg 0.0000 0.0000 0.0000 1
Mg2 Mg 0.4992 0.2261 0.5022 1
H1 H 0.1770 0.0000 0.6464 1
H2 H 0.4281 0.5000 0.3637 1
Ir1 Ir 0.2431 0.5000 0.3090 1
Ir2 Ir 0.2466 0.2590 0.8438 1
Ir3 Ir 0.2501 0.0000 0.3115 1
Ir4 Ir 0.4944 0.0000 0.9909 1
```

=====

Entry 7:
For Mg5H2Ir3, a crystal structure in Alexandria, relaxed with PBE gives the computed XRD peak list in this record (λ = 1.5418 Å (Cu Kα)).
Kinematic intensities with the Lorentz-polarization factor, no thermal factor.

Principal peaks in the range 10° ≤ 2θ ≤ 90°, by intensity:
d_spacing  2θ (°)  I/Imax  index
2.307  39.04  1000  2 0 2
3.193  27.94  637  2 0 0
2.258  39.93  501  2 2 0
1.313  71.91  334  4 2 2
3.338  26.71  334  0 0 2
1.870  48.69  271  2 2 2
6.676  13.26  257  0 0 1
3.741  23.79  209  1 1 -1
1.597  57.74  170  4 0 0
4.516  19.66  162  1 1 0

Crystal structure
```
data_Mg5H2Ir3
_space_group_name_H-M_alt 'C 1 m 1'
_space_group_IT_number 8
_cell_length_a 6.3879
_cell_length_b 6.3853
_cell_length_c 6.6759
_cell_angle_alpha 90.00
_cell_angle_beta 90.02
_cell_angle_gamma 90.00
loop_
_space_group_symop_operation_xyz
'x,y,z'
'x,-y,z'
'x+1/2,y+1/2,z'
'x+1/2,-y+1/2,z'
loop_
_atom_site_label
_atom_site_type_symbol
_atom_site_fract_x
_atom_site_fract_y
_atom_site_fract_z
_atom_site_occupancy
Mg1 Mg 0.0000 0.0000 0.0000 1
Mg2 Mg 0.2509 0.2498 0.2409 1
Mg3 Mg 0.2509 0.2497 0.6960 1
H1 H 0.0020 0.0000 0.7079 1
H2 H 0.0020 0.5000 0.7241 1
Ir1 Ir 0.0010 0.0000 0.4551 1
Ir2 Ir 0.0013 0.5000 0.4532 1
Ir3 Ir 0.0016 0.5000 0.9871 1
```

=====

Entry 8:
For Mg3H2Ir4, a crystal structure in Alexandria, relaxed with PBE gives the computed XRD peak list in this record (λ = 1.5418 Å (Cu Kα)).
Kinematic intensities with the Lorentz-polarization factor, no thermal factor.

Principal peaks in the range 10° ≤ 2θ ≤ 90°, by intensity:
d_spacing  2θ (°)  I/Imax  index
4.330  20.51  1000  0 1 -1
2.285  39.44  514  1 0 2
2.050  44.17  363  1 1 1
1.993  45.52  290  1 0 -3
2.228  40.49  289  2 -1 0
1.981  45.81  254  2 0 -1
3.626  24.55  192  1 0 -1
2.266  39.78  185  1 1 -2
6.290  14.08  137  0 0 1
2.165  41.72  134  0 2 -2

Crystal structure
```
data_Mg3H2Ir4
_space_group_name_H-M_alt 'P 1'
_space_group_IT_number 1
_cell_length_a 4.4553
_cell_length_b 5.0940
_cell_length_c 6.7310
_cell_angle_alpha 108.68
_cell_angle_beta 90.03
_cell_angle_gamma 115.84
loop_
_space_group_symop_operation_xyz
'x,y,z'
loop_
_atom_site_label
_atom_site_type_symbol
_atom_site_fract_x
_atom_site_fract_y
_atom_site_fract_z
_atom_site_occupancy
Mg1 Mg 0.0000 0.0000 0.0000 1
Mg2 Mg 0.2209 0.4407 0.7560 1
Mg3 Mg 0.5759 0.1497 0.3867 1
H1 H 0.7187 0.4359 0.8530 1
H2 H 0.9294 0.8572 0.2890 1
Ir1 Ir 0.2717 0.5428 0.3533 1
Ir2 Ir 0.5072 0.0145 0.7423 1
Ir3 Ir 0.7317 0.4628 0.1140 1
Ir4 Ir 0.9067 0.8132 0.5395 1
```